[1]
Structure and computed powder diffractogram of Sc2SiNiGe (DFT lattice parameters and positions (GGA-PBE); CuKα).

Atomic structure:
Cell lengths 5.322, 5.322, 9.582 Å; angles 116.22, 116.22, 44.15 degrees
Sites, in units of the cell vectors:
Sc (0.001, 0.001, 0.170)
Sc (0.184, 0.184, 0.608)
Sc (0.816, 0.816, 0.392)
Sc (0.999, 0.999, 0.830)
Si (0.360, 0.360, 0.933)
Si (0.640, 0.640, 0.067)
Ni (0.272, 0.272, 0.129)
Ni (0.728, 0.728, 0.871)
Ge (0.478, 0.478, 0.625)
Ge (0.522, 0.522, 0.375)

Largest 8 diffraction maxima, by angle, 10° ≤ 2θ ≤ 90°:
2θ (°), intensity
18.00, 39.8
29.08, 30.0
35.72, 65.4
36.33, 45.4
39.44, 100.0
42.95, 46.5
43.94, 88.5
45.34, 66.9

[2]
Structure and computed powder diffractogram of TbSiNiGe2 (DFT lattice parameters and positions (GGA-PBE); CuKα).

Atomic structure:
Cell lengths 10.957, 10.957, 4.006 Å; angles 90.00, 90.00, 158.46 degrees
Sites, in units of the cell vectors:
Tb (0.168, 0.832, 0.000)
Tb (0.832, 0.168, 0.000)
Si (0.444, 0.556, 0.000)
Si (0.556, 0.444, 0.000)
Ni (0.392, 0.608, 0.500)
Ni (0.608, 0.392, 0.500)
Ge (0.057, 0.943, 0.500)
Ge (0.284, 0.716, 0.500)
Ge (0.716, 0.284, 0.500)
Ge (0.943, 0.057, 0.500)

Largest 8 diffraction maxima, by angle, 10° ≤ 2θ ≤ 90°:
2θ (°), intensity
33.53, 37.6
33.70, 100.0
43.84, 34.7
44.24, 23.5
45.27, 22.0
56.64, 16.6
64.84, 21.1
65.16, 15.0

[3]
Structure and computed powder diffractogram of TbSiNiGe2 (DFT lattice parameters and positions (GGA-PBE); CuKα).

Atomic structure:
Cell lengths 10.922, 10.922, 4.075 Å; angles 90.00, 90.00, 158.64 degrees
Sites, in units of the cell vectors:
Tb (0.172, 0.828, 0.000)
Tb (0.828, 0.172, 0.000)
Si (0.281, 0.719, 0.500)
Si (0.719, 0.281, 0.500)
Ni (0.385, 0.615, 0.500)
Ni (0.615, 0.385, 0.500)
Ge (0.058, 0.942, 0.500)
Ge (0.442, 0.558, 0.000)
Ge (0.558, 0.442, 0.000)
Ge (0.942, 0.058, 0.500)

Largest 8 diffraction maxima, by angle, 10° ≤ 2θ ≤ 90°:
2θ (°), intensity
33.35, 37.4
33.63, 100.0
43.16, 18.0
44.07, 18.0
44.46, 23.9
44.78, 23.4
56.97, 16.1
64.94, 16.2

[4]
Structure and computed powder diffractogram of TbSiNiGe2 (DFT lattice parameters and positions (GGA-PBE); CuKα).

Atomic structure:
Cell lengths 10.959, 10.959, 4.095 Å; angles 90.00, 90.00, 158.94 degrees
Sites, in units of the cell vectors:
Tb (0.168, 0.832, 0.000)
Tb (0.832, 0.168, 0.000)
Si (0.056, 0.944, 0.500)
Si (0.944, 0.056, 0.500)
Ni (0.392, 0.608, 0.500)
Ni (0.608, 0.392, 0.500)
Ge (0.284, 0.716, 0.500)
Ge (0.443, 0.557, 0.000)
Ge (0.557, 0.443, 0.000)
Ge (0.716, 0.284, 0.500)

Largest 8 diffraction maxima, by angle, 10° ≤ 2θ ≤ 90°:
2θ (°), intensity
33.20, 31.2
33.70, 100.0
36.83, 16.3
44.07, 17.6
44.23, 23.5
45.29, 21.9
65.16, 14.4
74.65, 15.7